Entry 1:
The following is a calculated powder diffraction line list of CoCu2GeSe4. It was derived from DFT lattice parameters and positions (GGA-PBE), using a wavelength of 1.5418 Å.
Neutral-atom scattering factors, no anomalous dispersion.

Most intense lines, 10° ≤ 2θ ≤ 80°, in order of falling intensity:
- hkl 2 1 0, 2θ 26.21, d 3.400, rel. 100
- hkl 0 2 3, 2θ 49.79, d 1.831, rel. 87
- hkl 4 0 0, 2θ 46.25, d 1.963, rel. 82
- hkl 0 2 1, 2θ 29.63, d 3.015, rel. 70
- hkl 0 0 2, 2θ 27.36, d 3.260, rel. 57
- hkl 2 3 2, 2θ 54.57, d 1.682, rel. 47
- hkl 2 1 2, 2θ 38.25, d 2.353, rel. 34
- hkl 4 2 3, 2θ 70.30, d 1.339, rel. 29
- hkl 0 2 5, 2θ 78.57, d 1.218, rel. 20
- hkl 0 4 0, 2θ 53.94, d 1.700, rel. 13
- hkl 4 2 1, 2θ 55.90, d 1.645, rel. 11
- hkl 2 5 1, 2θ 75.39, d 1.261, rel. 9

Structural model:
```
data_CoCu2GeSe4
_chemical_formula_sum 'Co2 Cu4 Ge2 Se8'
_cell_length_a 7.8536
_cell_length_b 6.7978
_cell_length_c 6.5205
_cell_angle_alpha 90.00
_cell_angle_beta 90.00
_cell_angle_gamma 90.00
_symmetry_space_group_name_H-M 'P m n 21'
_symmetry_Int_Tables_number 31
_symmetry_space_group_name_Hall 'P 2ac -2'
loop_
_atom_site_label
_atom_site_type_symbol
_atom_site_fract_x
_atom_site_fract_y
_atom_site_fract_z
Co1 Co 0.0000 0.1609 0.0000
Cu1 Cu 0.2493 0.6743 0.0071
Ge1 Ge 0.0000 0.8313 0.4970
Se1 Se 0.0000 0.1678 0.3661
Se2 Se 0.0000 0.8354 0.8752
Se3 Se 0.2410 0.3392 0.8767
```

---

Entry 2:
The following is a calculated powder diffraction line list of NaZnAsO4. It was derived from DFT lattice parameters and positions (GGA-PBE), using a wavelength of 1.5418 Å.
Neutral-atom scattering factors, no anomalous dispersion.

Most intense lines, 10° ≤ 2θ ≤ 80°, in order of falling intensity:
- hkl 3 0 0, 2θ 33.92, d 2.643, rel. 100
- hkl 1 1 2, 2θ 28.77, d 3.103, rel. 87
- hkl 1 1 1, 2θ 22.09, d 4.024, rel. 80
- hkl 1 1 3, 2θ 37.51, d 2.398, rel. 75
- hkl 0 0 2, 2θ 21.04, d 4.222, rel. 74
- hkl 1 1 0, 2θ 19.39, d 4.577, rel. 68
- hkl 2 2 3, 2θ 51.46, d 1.776, rel. 36
- hkl 1 1 5, 2θ 58.23, d 1.584, rel. 35
- hkl 4 1 3, 2θ 63.08, d 1.474, rel. 34
- hkl 3 3 0, 2θ 60.69, d 1.526, rel. 33
- hkl 3 0 2, 2θ 40.26, d 2.240, rel. 32
- hkl 2 2 2, 2θ 45.06, d 2.012, rel. 23

Structural model:
```
data_NaZnAsO4
_chemical_formula_sum 'Na6 Zn6 As6 O24'
_cell_length_a 9.1545
_cell_length_b 9.1545
_cell_length_c 8.4436
_cell_angle_alpha 90.00
_cell_angle_beta 90.00
_cell_angle_gamma 120.00
_symmetry_space_group_name_H-M 'P 63'
_symmetry_Int_Tables_number 173
_symmetry_space_group_name_Hall 'P 6c'
loop_
_atom_site_label
_atom_site_type_symbol
_atom_site_fract_x
_atom_site_fract_y
_atom_site_fract_z
Na1 Na 0.0000 0.0000 0.0000
Na2 Na 0.3333 0.6667 0.0053
Na3 Na 0.3333 0.6667 0.5858
Zn1 Zn 0.0148 0.6777 0.7082
As1 As 0.0274 0.6834 0.3174
O1 O 0.0980 0.2253 0.8103
O2 O 0.0995 0.5318 0.7932
O3 O 0.1287 0.7324 0.4975
O4 O 0.1847 0.7711 0.1759
```

---

What is the formula in the first record?
CoCu2GeSe4

---

What did the first record say?
The following is a calculated powder diffraction line list of CoCu2GeSe4. It was derived from DFT lattice parameters and positions (GGA-PBE), using a wavelength of 1.5418 Å.
Neutral-atom scattering factors, no anomalous dispersion.

Most intense lines, 10° ≤ 2θ ≤ 80°, in order of falling intensity:
- hkl 2 1 0, 2θ 26.21, d 3.400, rel. 100
- hkl 0 2 3, 2θ 49.79, d 1.831, rel. 87
- hkl 4 0 0, 2θ 46.25, d 1.963, rel. 82
- hkl 0 2 1, 2θ 29.63, d 3.015, rel. 70
- hkl 0 0 2, 2θ 27.36, d 3.260, rel. 57
- hkl 2 3 2, 2θ 54.57, d 1.682, rel. 47
- hkl 2 1 2, 2θ 38.25, d 2.353, rel. 34
- hkl 4 2 3, 2θ 70.30, d 1.339, rel. 29
- hkl 0 2 5, 2θ 78.57, d 1.218, rel. 20
- hkl 0 4 0, 2θ 53.94, d 1.700, rel. 13
- hkl 4 2 1, 2θ 55.90, d 1.645, rel. 11
- hkl 2 5 1, 2θ 75.39, d 1.261, rel. 9

Structural model:
```
data_CoCu2GeSe4
_chemical_formula_sum 'Co2 Cu4 Ge2 Se8'
_cell_length_a 7.8536
_cell_length_b 6.7978
_cell_length_c 6.5205
_cell_angle_alpha 90.00
_cell_angle_beta 90.00
_cell_angle_gamma 90.00
_symmetry_space_group_name_H-M 'P m n 21'
_symmetry_Int_Tables_number 31
_symmetry_space_group_name_Hall 'P 2ac -2'
loop_
_atom_site_label
_atom_site_type_symbol
_atom_site_fract_x
_atom_site_fract_y
_atom_site_fract_z
Co1 Co 0.0000 0.1609 0.0000
Cu1 Cu 0.2493 0.6743 0.0071
Ge1 Ge 0.0000 0.8313 0.4970
Se1 Se 0.0000 0.1678 0.3661
Se2 Se 0.0000 0.8354 0.8752
Se3 Se 0.2410 0.3392 0.8767
```

---

What did the first record say?
The following is a calculated powder diffraction line list of CoCu2GeSe4. It was derived from DFT lattice parameters and positions (GGA-PBE), using a wavelength of 1.5418 Å.
Neutral-atom scattering factors, no anomalous dispersion.

Most intense lines, 10° ≤ 2θ ≤ 80°, in order of falling intensity:
- hkl 2 1 0, 2θ 26.21, d 3.400, rel. 100
- hkl 0 2 3, 2θ 49.79, d 1.831, rel. 87
- hkl 4 0 0, 2θ 46.25, d 1.963, rel. 82
- hkl 0 2 1, 2θ 29.63, d 3.015, rel. 70
- hkl 0 0 2, 2θ 27.36, d 3.260, rel. 57
- hkl 2 3 2, 2θ 54.57, d 1.682, rel. 47
- hkl 2 1 2, 2θ 38.25, d 2.353, rel. 34
- hkl 4 2 3, 2θ 70.30, d 1.339, rel. 29
- hkl 0 2 5, 2θ 78.57, d 1.218, rel. 20
- hkl 0 4 0, 2θ 53.94, d 1.700, rel. 13
- hkl 4 2 1, 2θ 55.90, d 1.645, rel. 11
- hkl 2 5 1, 2θ 75.39, d 1.261, rel. 9

Structural model:
```
data_CoCu2GeSe4
_chemical_formula_sum 'Co2 Cu4 Ge2 Se8'
_cell_length_a 7.8536
_cell_length_b 6.7978
_cell_length_c 6.5205
_cell_angle_alpha 90.00
_cell_angle_beta 90.00
_cell_angle_gamma 90.00
_symmetry_space_group_name_H-M 'P m n 21'
_symmetry_Int_Tables_number 31
_symmetry_space_group_name_Hall 'P 2ac -2'
loop_
_atom_site_label
_atom_site_type_symbol
_atom_site_fract_x
_atom_site_fract_y
_atom_site_fract_z
Co1 Co 0.0000 0.1609 0.0000
Cu1 Cu 0.2493 0.6743 0.0071
Ge1 Ge 0.0000 0.8313 0.4970
Se1 Se 0.0000 0.1678 0.3661
Se2 Se 0.0000 0.8354 0.8752
Se3 Se 0.2410 0.3392 0.8767
```